Simulated powder XRD pattern of ZnNi2O4 for Cu Ka, from a structure optimized by DFT (GGA+U).
Intensities are scaled so that the largest is 100.

Crystal structure
Unit cell a=5.9331 b=5.9331 c=8.1040 alpha=90.00 beta=90.00 gamma=90.00
Space group I4_1/a (No. 88, origin choice 2)
Symmetry-distinct sites (fractional):
Zn1 0.0000 0.2500 0.1250 [4 per cell]
Ni1 0.0000 0.0000 0.5000 [8 per cell]
O1 0.0207 0.0233 0.7360 [16 per cell]

Main lines, most intense first (2θ from 10° to 90°):
Position (°2θ)	I/Imax
35.6	100
36.5	45
63.9	39
30.7	31
57.1	31
62.6	21
30.1	15
37.6	15
43.1	15
59.1	14